No. 1
Diffraction record for Rb3Tb2NdTe6. The XRD peak list is computed, not measured: it uses a crystal structure in Alexandria, relaxed with PBE and Cu Kα.
Lines closer than 0.1° are merged.

Crystal structure
```
data_Rb3Tb2NdTe6
_cell_length_a 7.9302
_cell_length_b 13.7360
_cell_length_c 8.9612
_cell_angle_alpha 90.00
_cell_angle_beta 107.17
_cell_angle_gamma 90.00
_space_group_name_H-M_alt 'C 1 2/m 1'
_space_group_IT_number 12
loop_
_space_group_symop_operation_xyz
'x,y,z'
'-x,-y,-z'
'-x,y,-z'
'x,-y,z'
'x+1/2,y+1/2,z'
'-x+1/2,-y+1/2,-z'
'-x+1/2,y+1/2,-z'
'x+1/2,-y+1/2,z'
loop_
_atom_site_label
_atom_site_fract_x
_atom_site_fract_y
_atom_site_fract_z
Rb1 0.0000 0.0000 0.0000
Rb2 0.0000 0.3349 0.0000
Tb1 0.0000 0.1669 0.5000
Nd1 0.0000 0.5000 0.5000
Te1 0.2273 0.0000 0.7013
Te2 0.2372 0.3301 0.7018
```

Largest 6 diffraction maxima, in order of rising 2θ, 15° ≤ 2θ ≤ 90°:
26.42°, I = 100
33.27°, I = 13
35.99°, I = 34
39.36°, I = 37
48.03°, I = 19
63.77°, I = 16



No. 2
Diffraction record for Rb3TbNd3Te8. The XRD peak list is computed, not measured: it uses a crystal structure in Alexandria, relaxed with PBE and Cu Kα.
Lines closer than 0.1° are merged.

Crystal structure
```
data_Rb3TbNd3Te8
_cell_length_a 9.0640
_cell_length_b 9.0640
_cell_length_c 26.5217
_cell_angle_alpha 90.00
_cell_angle_beta 90.00
_cell_angle_gamma 120.00
_space_group_name_H-M_alt 'R -3 m'
_space_group_IT_number 166
_space_group_name_Hall '-R 3 2"'
loop_
_atom_site_label
_atom_site_fract_x
_atom_site_fract_y
_atom_site_fract_z
Rb1 0.0000 0.5000 0.0000
Tb1 0.0000 0.0000 0.5000
Nd1 0.0000 0.5000 0.5000
Te1 0.0000 0.0000 0.2354
Te2 0.0054 0.5027 0.2338
```

Largest 6 diffraction maxima, in order of rising 2θ, 15° ≤ 2θ ≤ 90°:
26.39°, I = 100
32.86°, I = 17
35.44°, I = 35
39.78°, I = 36
48.37°, I = 19
64.35°, I = 16



No. 3
Diffraction record for RbNdTe3. The XRD peak list is computed, not measured: it uses a crystal structure in Alexandria, relaxed with PBE and Cu Kα.
Lines closer than 0.1° are merged.

Crystal structure
```
data_RbNdTe3
_cell_length_a 17.2940
_cell_length_b 6.0699
_cell_length_c 7.9236
_cell_angle_alpha 90.00
_cell_angle_beta 90.00
_cell_angle_gamma 90.00
_space_group_name_H-M_alt 'P b c m'
_space_group_IT_number 57
loop_
_space_group_symop_operation_xyz
'x,y,z'
'-x,-y,-z'
'-x,-y,z+1/2'
'x,y,-z+1/2'
'x,-y+1/2,-z'
'-x,y+1/2,z'
'-x,y+1/2,-z+1/2'
'x,-y+1/2,z+1/2'
loop_
_atom_site_label
_atom_site_fract_x
_atom_site_fract_y
_atom_site_fract_z
Rb1 0.1669 0.0504 0.2500
Nd1 0.4070 0.7500 0.0000
Te1 0.0142 0.7500 0.0000
Te2 0.2878 0.5565 0.2500
Te3 0.4447 0.1434 0.2500
```

Largest 6 diffraction maxima, in order of rising 2θ, 15° ≤ 2θ ≤ 90°:
24.72°, I = 60
27.33°, I = 56
27.72°, I = 93
31.10°, I = 100
31.23°, I = 59
37.32°, I = 59



No. 4
Diffraction record for Rb3NdTh3Te8. The XRD peak list is computed, not measured: it uses a crystal structure in Alexandria, relaxed with PBE and Cu Kα.
Lines closer than 0.1° are merged.

Crystal structure
```
data_Rb3NdTh3Te8
_cell_length_a 9.0104
_cell_length_b 9.0104
_cell_length_c 26.5609
_cell_angle_alpha 90.00
_cell_angle_beta 90.00
_cell_angle_gamma 120.00
_space_group_name_H-M_alt 'R -3 m'
_space_group_IT_number 166
_space_group_name_Hall '-R 3 2"'
loop_
_atom_site_label
_atom_site_fract_x
_atom_site_fract_y
_atom_site_fract_z
Rb1 0.0000 0.5000 0.0000
Nd1 0.0000 0.0000 0.5000
Th1 0.0000 0.5000 0.5000
Te1 0.0000 0.0000 0.2365
Te2 0.0059 0.5029 0.7644
```

Largest 6 diffraction maxima, in order of rising 2θ, 15° ≤ 2θ ≤ 90°:
26.50°, I = 100
32.93°, I = 18
35.50°, I = 39
40.03°, I = 35
48.65°, I = 19
64.76°, I = 16



Question: What is the formula in the third record?
Answer: RbNdTe3